For Mg2H6Os, a structure optimized by DFT (PBE) gives the theoretical X-ray powder pattern in this record (Cu Kα (weighted mean of Kα1 and Kα2)).
Lines closer than 0.1° are merged.

Atomic structure:
Cell lengths 4.7237, 4.7237, 4.7237 Å; angles 60.00, 60.00, 60.00 degrees
Element x y z (fractional)
Mg (0.2500, 0.2500, 0.2500)
Mg (0.7500, 0.7500, 0.7500)
H (0.2463, 0.2463, 0.7537)
H (0.2463, 0.7537, 0.2463)
H (0.2463, 0.7537, 0.7537)
H (0.7537, 0.2463, 0.2463)
H (0.7537, 0.2463, 0.7537)
H (0.7537, 0.7537, 0.2463)
Os (0.5000, 0.5000, 0.5000)

Principal peaks in the range 2θ from 10° to 80°, in order of falling intensity:
2θ = 23.06°, intensity 100; 2θ = 38.10°, intensity 66; 2θ = 45.01°, intensity 52; 2θ = 26.69°, intensity 29; 2θ = 68.85°, intensity 24; 2θ = 60.40°, intensity 22; 2θ = 73.69°, intensity 16; 2θ = 54.98°, intensity 12; 2θ = 62.14°, intensity 11; 2θ = 47.13°, intensity 7

***

For P2Pb3S8, a structure optimized by DFT (PBE) gives the theoretical X-ray powder pattern in this record (Cu Kα (weighted mean of Kα1 and Kα2)).
Lines closer than 0.1° are merged.

Atomic structure:
Cell lengths 11.1932, 11.1932, 11.1932 Å; angles 90.00, 90.00, 90.00 degrees
Element x y z (fractional)
P (0.0741, 0.0741, 0.0741)
P (0.1528, 0.6528, 0.8472)
P (0.3472, 0.3472, 0.3472)
P (0.4259, 0.9259, 0.5741)
P (0.5741, 0.4259, 0.9259)
P (0.6528, 0.8472, 0.1528)
P (0.8472, 0.1528, 0.6528)
P (0.9259, 0.5741, 0.4259)
Pb (0.0312, 0.2639, 0.3589)
Pb (0.1411, 0.9688, 0.7639)
Pb (0.2361, 0.6411, 0.5312)
Pb (0.2639, 0.3589, 0.0312)
Pb (0.3589, 0.0312, 0.2639)
Pb (0.4688, 0.7361, 0.8589)
Pb (0.5312, 0.2361, 0.6411)
Pb (0.6411, 0.5312, 0.2361)
Pb (0.7361, 0.8589, 0.4688)
Pb (0.7639, 0.1411, 0.9688)
Pb (0.8589, 0.4688, 0.7361)
Pb (0.9688, 0.7639, 0.1411)
S (0.0043, 0.7388, 0.4076)
S (0.0338, 0.4662, 0.5338)
S (0.0481, 0.5481, 0.9519)
S (0.0553, 0.7288, 0.7095)
S (0.0924, 0.9957, 0.2388)
S (0.2095, 0.4447, 0.2712)
S (0.2288, 0.7905, 0.9447)
S (0.2388, 0.0924, 0.9957)
S (0.2612, 0.9076, 0.4957)
S (0.2712, 0.2095, 0.4447)
S (0.2905, 0.5553, 0.7712)
S (0.4076, 0.0043, 0.7388)
S (0.4447, 0.2712, 0.2095)
S (0.4519, 0.4519, 0.4519)
S (0.4662, 0.5338, 0.0338)
S (0.4957, 0.2612, 0.9076)
S (0.5043, 0.7612, 0.5924)
S (0.5338, 0.0338, 0.4662)
S (0.5481, 0.9519, 0.0481)
S (0.5553, 0.7712, 0.2905)
S (0.5924, 0.5043, 0.7612)
S (0.7095, 0.0553, 0.7288)
S (0.7288, 0.7095, 0.0553)
S (0.7388, 0.4076, 0.0043)
S (0.7612, 0.5924, 0.5043)
S (0.7712, 0.2905, 0.5553)
S (0.7905, 0.9447, 0.2288)
S (0.9076, 0.4957, 0.2612)
S (0.9447, 0.2288, 0.7905)
S (0.9519, 0.0481, 0.5481)
S (0.9662, 0.9662, 0.9662)
S (0.9957, 0.2388, 0.0924)

Principal peaks in the range 2θ from 10° to 80°, in order of falling intensity:
2θ = 19.43°, intensity 100; 2θ = 25.16°, intensity 55; 2θ = 35.88°, intensity 53; 2θ = 29.87°, intensity 43; 2θ = 41.12°, intensity 38; 2θ = 37.69°, intensity 33; 2θ = 13.70°, intensity 28; 2θ = 33.00°, intensity 18; 2θ = 50.25°, intensity 18; 2θ = 48.09°, intensity 16; 2θ = 22.47°, intensity 15; 2θ = 65.08°, intensity 15

***

For NbSnRu2, a structure optimized by DFT (PBE) gives the theoretical X-ray powder pattern in this record (Cu Kα (weighted mean of Kα1 and Kα2)).
Lines closer than 0.1° are merged.

Atomic structure:
Cell lengths 4.5303, 4.5303, 4.5303 Å; angles 60.00, 60.00, 60.00 degrees
Element x y z (fractional)
Nb (0.0000, 0.0000, 0.0000)
Sn (0.5000, 0.5000, 0.5000)
Ru (0.2500, 0.2500, 0.2500)
Ru (0.7500, 0.7500, 0.7500)

Principal peaks in the range 2θ from 10° to 80°, in order of falling intensity:
2θ = 39.80°, intensity 100; 2θ = 72.24°, intensity 34; 2θ = 57.54°, intensity 17; 2θ = 24.06°, intensity 1; 2θ = 47.04°, intensity 1